Record 1
# Ho8C4N
Calculated powder diffraction line list, Cu Kα, 1.54184 Å. Input: DFT lattice parameters and positions (GGA-PBE).
Lines closer than 0.1° are merged.

Largest 10 diffraction maxima, in order of rising 2θ, 2θ from 15° to 90°:
| d_spacing | Position (°2θ) | Rel. int. |
| --- | --- | --- |
| 5.905 | 15.00 | 5 |
| 2.953 | 30.27 | 100 |
| 2.557 | 35.09 | 56 |
| 1.968 | 46.11 | 6 |
| 1.808 | 50.47 | 40 |
| 1.542 | 59.99 | 40 |
| 1.476 | 62.96 | 13 |
| 1.279 | 74.17 | 6 |
| 1.173 | 82.15 | 15 |
| 1.144 | 84.78 | 15 |

Structure:
```
13
Lattice="0.000 5.114 5.114 5.114 0.000 5.114 5.114 5.114 0.000" Properties=species:S:1:pos:R:3 pbc="T T T"
Ho 3.945 3.945 3.945
Ho 6.283 6.283 3.945
Ho 6.283 3.945 6.283
Ho 8.888 6.455 6.455
Ho 3.945 6.283 6.283
Ho 6.455 8.888 6.455
Ho 6.455 6.455 8.888
Ho 8.888 8.888 8.888
C 6.371 3.857 3.857
C 3.857 6.371 3.857
C 3.857 3.857 6.371
C 6.371 6.371 6.371
N 0.000 0.000 0.000
```

Record 2
# HoC2N3
Calculated powder diffraction line list, Cu Kα, 1.54184 Å. Input: DFT lattice parameters and positions (GGA-PBE).
Lines closer than 0.1° are merged.

Largest 10 diffraction maxima, in order of rising 2θ, 2θ from 15° to 90°:
| d_spacing | Position (°2θ) | Rel. int. |
| --- | --- | --- |
| 4.644 | 19.11 | 100 |
| 3.810 | 23.35 | 31 |
| 2.929 | 30.52 | 40 |
| 2.847 | 31.42 | 87 |
| 2.618 | 34.25 | 35 |
| 2.322 | 38.78 | 18 |
| 1.957 | 46.40 | 33 |
| 1.952 | 46.53 | 29 |
| 1.675 | 54.82 | 18 |
| 1.423 | 65.62 | 20 |

Structure:
```
6
Lattice="2.929 -3.810 0.000 2.929 3.810 0.000 0.000 0.000 3.603" Properties=species:S:1:pos:R:3 pbc="T T T"
Ho 0.000 0.000 0.000
C 2.929 1.211 2.237
C 2.929 -1.211 2.237
N 2.929 2.351 1.719
N 2.929 0.000 1.671
N 2.929 -2.351 1.719
```

Record 3
# Ho8Te3C3N
Calculated powder diffraction line list, Cu Kα, 1.54184 Å. Input: DFT lattice parameters and positions (GGA-PBE).
Lines closer than 0.1° are merged.

Largest 10 diffraction maxima, in order of rising 2θ, 2θ from 15° to 90°:
| d_spacing | Position (°2θ) | Rel. int. |
| --- | --- | --- |
| 3.192 | 27.95 | 16 |
| 3.087 | 28.93 | 40 |
| 2.750 | 32.56 | 100 |
| 2.559 | 35.06 | 46 |
| 2.331 | 38.63 | 22 |
| 2.036 | 44.51 | 18 |
| 1.865 | 48.84 | 40 |
| 1.543 | 59.94 | 17 |
| 1.456 | 63.94 | 30 |
| 1.443 | 64.57 | 15 |

Structure:
```
15
Lattice="3.729 2.153 6.992 -3.729 2.153 6.992 0.000 -4.306 6.992" Properties=species:S:1:pos:R:3 pbc="T T T"
Ho -1.869 -1.079 11.778
Ho 0.000 0.000 4.796
Ho 0.000 -2.159 9.198
Ho -1.869 1.079 9.198
Ho 1.869 -1.079 11.778
Ho 0.000 2.159 11.778
Ho 0.000 0.000 16.180
Ho 1.869 1.079 9.198
Te -1.865 -1.077 6.992
Te -1.865 1.077 13.984
Te 0.000 2.153 6.992
C -3.729 0.000 10.488
C -1.865 1.077 3.496
C 1.865 1.077 3.496
N 0.000 0.000 10.488
```

Record 4
# NdHo8C4
Calculated powder diffraction line list, Cu Kα, 1.54184 Å. Input: DFT lattice parameters and positions (GGA-PBE).
Lines closer than 0.1° are merged.

Largest 10 diffraction maxima, in order of rising 2θ, 2θ from 15° to 90°:
| d_spacing | Position (°2θ) | Rel. int. |
| --- | --- | --- |
| 3.069 | 29.10 | 25 |
| 3.055 | 29.23 | 24 |
| 2.989 | 29.89 | 72 |
| 2.829 | 31.62 | 38 |
| 2.791 | 32.07 | 100 |
| 2.707 | 33.09 | 99 |
| 2.616 | 34.28 | 38 |
| 1.774 | 51.51 | 38 |
| 1.549 | 59.70 | 24 |
| 1.480 | 62.80 | 22 |

Structure:
```
13
Lattice="8.992 -1.794 0.000 8.992 1.794 0.000 -8.315 0.000 9.166" Properties=species:S:1:pos:R:3 pbc="T T T"
Nd 0.000 0.000 0.000
Ho -5.336 0.000 6.699
Ho -2.505 0.000 8.576
Ho 0.615 0.000 5.968
Ho 3.146 0.000 3.687
Ho 6.523 0.000 5.480
Ho 9.053 0.000 3.199
Ho 12.174 0.000 0.590
Ho 15.005 0.000 2.467
C -1.216 0.000 4.294
C 4.538 0.000 1.597
C 5.130 0.000 7.569
C 10.885 0.000 4.872
```

Record 5
# NdHo3C8
Calculated powder diffraction line list, Cu Kα, 1.54184 Å. Input: DFT lattice parameters and positions (GGA-PBE).
Lines closer than 0.1° are merged.

Largest 10 diffraction maxima, in order of rising 2θ, 2θ from 15° to 90°:
| d_spacing | Position (°2θ) | Rel. int. |
| --- | --- | --- |
| 3.381 | 26.36 | 100 |
| 3.107 | 28.73 | 97 |
| 3.075 | 29.04 | 98 |
| 2.421 | 37.14 | 31 |
| 2.362 | 38.11 | 29 |
| 1.902 | 47.82 | 54 |
| 1.880 | 48.41 | 51 |
| 1.738 | 52.67 | 38 |
| 1.690 | 54.27 | 19 |
| 1.498 | 61.94 | 21 |

Structure:
```
12
Lattice="0.000 4.842 4.051 4.723 0.000 4.051 4.723 4.842 0.000" Properties=species:S:1:pos:R:3 pbc="T T T"
Nd 0.000 0.000 0.000
Ho 2.362 2.421 1.901
Ho 4.723 4.842 4.082
Ho 7.085 7.262 5.952
C 6.343 4.842 2.193
C 4.723 2.463 2.964
C 7.005 4.842 5.240
C 3.104 4.842 2.193
C 4.723 3.187 5.993
C 4.723 7.220 2.964
C 2.441 4.842 5.240
C 4.723 6.496 5.993
```

Record 6
# Ho5CO5
Calculated powder diffraction line list, Cu Kα, 1.54184 Å. Input: DFT lattice parameters and positions (GGA-PBE).
Lines closer than 0.1° are merged.

Largest 10 diffraction maxima, in order of rising 2θ, 2θ from 15° to 90°:
| d_spacing | Position (°2θ) | Rel. int. |
| --- | --- | --- |
| 4.309 | 20.61 | 21 |
| 2.781 | 32.19 | 100 |
| 2.769 | 32.34 | 100 |
| 2.429 | 37.01 | 56 |
| 2.408 | 37.34 | 52 |
| 2.372 | 37.93 | 52 |
| 1.697 | 54.03 | 36 |
| 1.690 | 54.28 | 36 |
| 1.436 | 64.96 | 29 |
| 1.384 | 67.69 | 18 |

Structure:
```
11
Lattice="5.436 -2.372 0.000 5.436 2.372 0.000 -2.192 0.000 6.456" Properties=species:S:1:pos:R:3 pbc="T T T"
Ho 0.000 0.000 0.000
Ho 2.188 0.000 4.302
Ho 3.355 0.000 1.157
Ho 5.326 0.000 5.299
Ho 6.492 0.000 2.154
C 5.436 0.000 0.000
O 1.237 0.000 2.101
O 0.084 0.000 5.513
O 4.340 0.000 3.228
O 8.597 0.000 0.944
O 7.443 0.000 4.356
```

Record 7
# Ho8C3O
Calculated powder diffraction line list, Cu Kα, 1.54184 Å. Input: DFT lattice parameters and positions (GGA-PBE).
Lines closer than 0.1° are merged.

Largest 10 diffraction maxima, in order of rising 2θ, 2θ from 15° to 90°:
| d_spacing | Position (°2θ) | Rel. int. |
| --- | --- | --- |
| 2.983 | 29.95 | 33 |
| 2.903 | 30.80 | 100 |
| 2.531 | 35.47 | 78 |
| 1.808 | 50.48 | 26 |
| 1.772 | 51.58 | 28 |
| 1.546 | 59.82 | 12 |
| 1.524 | 60.77 | 18 |
| 1.512 | 61.29 | 15 |
| 1.452 | 64.16 | 14 |
| 1.123 | 86.71 | 12 |

Structure:
```
12
Lattice="6.140 -3.543 0.000 6.140 3.543 0.000 -4.107 0.000 5.966" Properties=species:S:1:pos:R:3 pbc="T T T"
Ho 3.051 1.791 4.332
Ho -0.007 0.000 4.359
Ho 2.018 0.000 1.634
Ho 5.121 1.791 1.635
Ho 3.051 -1.791 4.332
Ho 6.154 0.000 4.332
Ho 8.179 0.000 1.608
Ho 5.121 -1.791 1.635
C -2.054 0.000 2.983
C 1.016 1.772 2.983
C 1.016 -1.772 2.983
O 4.086 0.000 2.983
```

Record 8
# Ho4CO4
Calculated powder diffraction line list, Cu Kα, 1.54184 Å. Input: DFT lattice parameters and positions (GGA-PBE).
Lines closer than 0.1° are merged.

Largest 10 diffraction maxima, in order of rising 2θ, 2θ from 15° to 90°:
| d_spacing | Position (°2θ) | Rel. int. |
| --- | --- | --- |
| 3.114 | 28.66 | 100 |
| 2.799 | 31.98 | 26 |
| 2.523 | 35.58 | 12 |
| 2.430 | 37.00 | 8 |
| 1.979 | 45.85 | 14 |
| 1.874 | 48.58 | 25 |
| 1.670 | 54.98 | 24 |
| 1.557 | 59.35 | 8 |
| 1.548 | 59.73 | 12 |
| 1.219 | 78.43 | 8 |

Structure:
```
9
Lattice="-2.799 2.799 5.046 2.799 -2.799 5.046 2.799 2.799 -5.046" Properties=species:S:1:pos:R:3 pbc="T T T"
Ho 1.570 1.570 -1.183
Ho 1.228 -1.228 6.229
Ho 1.228 1.228 3.864
Ho -1.228 1.228 6.229
C 0.000 0.000 5.046
O 2.799 0.000 0.000
O 0.000 0.000 2.203
O 0.000 2.799 0.000
O 0.000 0.000 7.889
```

Record 9
# Rb2HoC2O6
Calculated powder diffraction line list, Cu Kα, 1.54184 Å. Input: DFT lattice parameters and positions (GGA-PBE).
Lines closer than 0.1° are merged.

Largest 10 diffraction maxima, in order of rising 2θ, 2θ from 15° to 90°:
| d_spacing | Position (°2θ) | Rel. int. |
| --- | --- | --- |
| 4.144 | 21.44 | 100 |
| 3.177 | 28.08 | 100 |
| 2.733 | 32.76 | 47 |
| 2.282 | 39.49 | 30 |
| 2.072 | 43.68 | 22 |
| 1.975 | 45.95 | 33 |
| 1.952 | 46.52 | 18 |
| 1.752 | 52.22 | 28 |
| 1.651 | 55.66 | 22 |
| 1.381 | 67.84 | 11 |

Structure:
```
11
Lattice="5.467 0.000 0.000 -2.733 4.735 0.000 0.000 0.000 8.572" Properties=species:S:1:pos:R:3 pbc="T T T"
Rb 0.000 3.156 2.647
Rb 2.733 1.578 5.925
Ho 0.000 0.000 0.000
C 0.000 3.156 7.356
C 2.733 1.578 1.216
O 0.000 1.859 7.327
O -1.124 3.805 7.327
O 1.610 0.929 1.246
O 1.124 3.805 7.327
O 3.857 0.929 1.246
O 2.733 2.876 1.246
```